No. 1
This entry pairs a crystal structure of Tb2ScHg4 with its theoretical X-ray diffraction stick pattern. Radiation: CuKα. Structure: a structure optimized by DFT (PBE).

abc: 4.9688 4.9688 26.2533
angles: 90.00 90.00 120.00
Space group R-3m (No. 166, hexagonal axes)
Symmetry-distinct sites (fractional):
Tb 0.0000 0.0000 0.2462
Sc 0.0000 0.0000 0.0000
Hg 0.0000 0.0000 0.1285
Hg 0.0000 0.0000 0.3696

Main lines, low angle first (2θ from 15° to 90°):
21.73°, I 24
24.74°, I 33
34.37°, I 100
36.15°, I 92
40.24°, I 12
50.74°, I 34
60.38°, I 17
63.87°, I 35
65.02°, I 17
76.72°, I 11
83.73°, I 14
86.84°, I 16

=====

No. 2
This entry pairs a crystal structure of CaEr2As with its theoretical X-ray diffraction stick pattern. Radiation: CuKα. Structure: a structure optimized by DFT (PBE).

abc: 3.8494 3.8494 30.8063
angles: 90.00 90.00 120.00
Space group R-3m (No. 166, hexagonal axes)
Symmetry-distinct sites (fractional):
Ca 0.0000 0.0000 0.0000
Er 0.0000 0.0000 0.1124
As 0.0000 0.0000 0.5000

Main lines, low angle first (2θ from 15° to 90°):
26.03°, I 37
26.90°, I 56
27.37°, I 34
29.19°, I 36
30.49°, I 100
35.62°, I 85
39.84°, I 53
47.05°, I 34
47.22°, I 52
48.10°, I 21
54.71°, I 29
74.14°, I 27

=====

No. 3
This entry pairs a crystal structure of Pm3Dy2Cd2 with its theoretical X-ray diffraction stick pattern. Radiation: CuKα. Structure: a structure optimized by DFT (PBE).

abc: 5.4655 5.4655 24.1752
angles: 90.00 90.00 120.00
Space group R-3m (No. 166, hexagonal axes)
Symmetry-distinct sites (fractional):
Pm 0.0000 0.0000 0.0000
Pm 0.0000 0.0000 0.1581
Dy 0.0000 0.0000 0.4264
Cd 0.0000 0.0000 0.2894

Main lines, low angle first (2θ from 15° to 90°):
26.35°, I 9
32.08°, I 92
32.77°, I 100
46.52°, I 33
56.76°, I 18
58.07°, I 33
58.50°, I 19
67.10°, I 7
68.69°, I 12
76.71°, I 12
77.84°, I 14
87.05°, I 5